Entry 1:
Calculated XRD peak list of Fe2Co for Cu Kα (weighted mean of Kα1 and Kα2), from a DFT-relaxed cell (PBE, Alexandria).
Neutral-atom scattering factors, no anomalous dispersion.

Atomic structure:
abc: 2.8316 2.8316 8.5746
angles: 90.00 90.00 90.00
Sites, in units of the cell vectors:
Fe 0.2500 0.2500 0.0826
Fe 0.2500 0.2500 0.7471
Fe 0.7500 0.7500 0.2529
Fe 0.7500 0.7500 0.9174
Co 0.2500 0.2500 0.4150
Co 0.7500 0.7500 0.5850

Most intense lines, 2θ from 15° to 90°, most intense first:
d (Å), 2θ (°), I (rel.)
2.012, 45.07, 100
2.002, 45.29, 49
1.158, 83.50, 28
1.416, 65.98, 14
1.163, 83.02, 14
1.429, 65.29, 7

=====

Entry 2:
Calculated XRD peak list of Pr2Nd3H8 for Cu Kα (weighted mean of Kα1 and Kα2), from a DFT-relaxed cell (PBE, Alexandria).
Neutral-atom scattering factors, no anomalous dispersion.

Atomic structure:
abc: 6.5588 3.7317 9.2917
angles: 90.00 110.45 90.00
Sites, in units of the cell vectors:
Pr 0.0553 0.0000 0.2937
Pr 0.9447 0.0000 0.7063
Nd 0.4103 0.5000 0.6556
Nd 0.5000 0.0000 0.0000
Nd 0.5897 0.5000 0.3444
H 0.1889 0.0000 0.5656
H 0.2385 0.5000 0.8416
H 0.2637 0.5000 0.3890
H 0.3795 0.0000 0.2150
H 0.6205 0.0000 0.7850
H 0.7363 0.5000 0.6110
H 0.7615 0.5000 0.1584
H 0.8111 0.0000 0.4344

Most intense lines, 2θ from 15° to 90°, most intense first:
d (Å), 2θ (°), I (rel.)
2.831, 31.60, 100
3.075, 29.04, 37
2.902, 30.81, 28
3.189, 27.98, 28
1.875, 48.55, 25
1.661, 55.31, 25

=====

Entry 3:
Calculated XRD peak list of ErBiRh3 for Cu Kα (weighted mean of Kα1 and Kα2), from a DFT-relaxed cell (PBE, Alexandria).
Neutral-atom scattering factors, no anomalous dispersion.

Atomic structure:
abc: 6.5629 6.5629 6.5629
angles: 129.45 108.79 92.44
Sites, in units of the cell vectors:
Er 0.2721 0.0221 0.2500
Er 0.7279 0.9779 0.7500
Bi 0.0000 0.5000 0.5000
Bi 0.5000 0.5000 0.0000
Rh 0.0323 0.2823 0.7500
Rh 0.3089 0.0000 0.8089
Rh 0.3089 0.5000 0.3089
Rh 0.6911 0.0000 0.1911
Rh 0.6911 0.5000 0.6911
Rh 0.9677 0.7177 0.2500

Most intense lines, 2θ from 15° to 90°, most intense first:
d (Å), 2θ (°), I (rel.)
2.982, 29.97, 100
2.185, 41.32, 61
2.385, 37.72, 52
2.270, 39.70, 39
2.023, 44.80, 25
1.650, 55.70, 18

=====

Entry 4:
Calculated XRD peak list of Pr3YTm8 for Cu Kα (weighted mean of Kα1 and Kα2), from a DFT-relaxed cell (PBE, Alexandria).
Neutral-atom scattering factors, no anomalous dispersion.

Atomic structure:
abc: 6.9652 6.9652 9.1251
angles: 110.34 110.34 73.95
Sites, in units of the cell vectors:
Pr 0.0000 0.0000 0.0000
Pr 0.5296 0.9424 0.0394
Pr 0.9424 0.5296 0.0394
Y 0.8058 0.8058 0.4065
Tm 0.1400 0.1400 0.7274
Tm 0.1999 0.6052 0.6982
Tm 0.2769 0.8643 0.3736
Tm 0.3378 0.3378 0.3462
Tm 0.4716 0.4716 0.0673
Tm 0.6052 0.1999 0.6982
Tm 0.6647 0.6647 0.6705
Tm 0.8643 0.2769 0.3736

Most intense lines, 2θ from 15° to 90°, most intense first:
d (Å), 2θ (°), I (rel.)
2.743, 32.65, 100
2.964, 30.15, 69
2.754, 32.52, 34
2.650, 33.83, 19
2.653, 33.79, 18
1.496, 62.03, 17

=====

Repeat the second record exactly.
Calculated XRD peak list of Pr2Nd3H8 for Cu Kα (weighted mean of Kα1 and Kα2), from a DFT-relaxed cell (PBE, Alexandria).
Neutral-atom scattering factors, no anomalous dispersion.

Atomic structure:
abc: 6.5588 3.7317 9.2917
angles: 90.00 110.45 90.00
Sites, in units of the cell vectors:
Pr 0.0553 0.0000 0.2937
Pr 0.9447 0.0000 0.7063
Nd 0.4103 0.5000 0.6556
Nd 0.5000 0.0000 0.0000
Nd 0.5897 0.5000 0.3444
H 0.1889 0.0000 0.5656
H 0.2385 0.5000 0.8416
H 0.2637 0.5000 0.3890
H 0.3795 0.0000 0.2150
H 0.6205 0.0000 0.7850
H 0.7363 0.5000 0.6110
H 0.7615 0.5000 0.1584
H 0.8111 0.0000 0.4344

Most intense lines, 2θ from 15° to 90°, most intense first:
d (Å), 2θ (°), I (rel.)
2.831, 31.60, 100
3.075, 29.04, 37
2.902, 30.81, 28
3.189, 27.98, 28
1.875, 48.55, 25
1.661, 55.31, 25